For Ta3Si, a structure optimized by DFT (GGA-PBE) gives the theoretical powder XRD pattern in this record (Cu Ka).
Intensities are scaled so that the largest is 100.

Cell: 10.2336 10.2336 5.2154 Å, 90.00 90.00 90.00°
Sites, in units of the cell vectors:
Ta1 0.0367 0.9379 0.2369
Ta2 0.0621 0.5367 0.7369
Ta3 0.1036 0.2675 0.0231
Ta4 0.1504 0.8358 0.7205
Ta5 0.1642 0.6504 0.2205
Ta6 0.2325 0.1036 0.4769
Ta7 0.2675 0.3964 0.4769
Ta8 0.3358 0.8496 0.2205
Ta9 0.3496 0.6642 0.7205
Ta10 0.3964 0.2325 0.0231
Ta11 0.4379 0.9633 0.7369
Ta12 0.4633 0.5621 0.2369
Ta13 0.5367 0.4379 0.7631
Ta14 0.5621 0.0367 0.2631
Ta15 0.6036 0.7675 0.9769
Ta16 0.6504 0.3358 0.2795
Ta17 0.6642 0.1504 0.7795
Ta18 0.7325 0.6036 0.5231
Ta19 0.7675 0.8964 0.5231
Ta20 0.8358 0.3496 0.7795
Ta21 0.8496 0.1642 0.2795
Ta22 0.8964 0.7325 0.9769
Ta23 0.9379 0.4633 0.2631
Ta24 0.9633 0.0621 0.7631
Si1 0.0448 0.2791 0.5294
Si2 0.2209 0.0448 0.9706
Si3 0.2791 0.4552 0.9706
Si4 0.4552 0.2209 0.5294
Si5 0.5448 0.7791 0.4706
Si6 0.7209 0.5448 0.0294
Si7 0.7791 0.9552 0.0294
Si8 0.9552 0.7209 0.4706

Largest 10 diffraction maxima, sorted by position, 2θ from 10° to 90°:
d 3.652, 2θ 24.4, I 18
d 2.750, 2θ 32.6, I 44
d 2.493, 2θ 36.0, I 100
d 2.453, 2θ 36.6, I 55
d 2.412, 2θ 37.3, I 36
d 2.288, 2θ 39.4, I 34
d 2.241, 2θ 40.2, I 73
d 2.115, 2θ 42.7, I 25
d 1.601, 2θ 57.6, I 18
d 1.447, 2θ 64.4, I 20

---

For Ta5Si3, a structure optimized by DFT (GGA-PBE) gives the theoretical powder XRD pattern in this record (Cu Ka).
Intensities are scaled so that the largest is 100.

Cell: 7.5580 7.5580 7.5580 Å, 128.55 128.55 75.74°
Sites, in units of the cell vectors:
Ta1 0.0000 0.0000 0.0000
Ta2 0.0148 0.5148 0.8298
Ta3 0.1850 0.0148 0.5000
Ta4 0.3150 0.8150 0.8298
Ta5 0.4852 0.3150 0.5000
Ta6 0.5000 0.5000 0.0000
Ta7 0.5148 0.6850 0.5000
Ta8 0.6850 0.1850 0.1702
Ta9 0.8150 0.9852 0.5000
Ta10 0.9852 0.4852 0.1702
Si1 0.1300 0.3700 0.5000
Si2 0.2500 0.2500 0.0000
Si3 0.3700 0.8700 0.2399
Si4 0.6300 0.1300 0.7601
Si5 0.7500 0.7500 0.0000
Si6 0.8700 0.6300 0.5000

Largest 10 diffraction maxima, sorted by position, 2θ from 10° to 90°:
d 2.875, 2θ 31.1, I 18
d 2.849, 2θ 31.4, I 41
d 2.509, 2θ 35.8, I 21
d 2.361, 2θ 38.1, I 100
d 2.207, 2θ 40.9, I 31
d 2.075, 2θ 43.6, I 40
d 1.477, 2θ 62.9, I 19
d 1.474, 2θ 63.1, I 17
d 1.436, 2θ 64.9, I 23
d 1.373, 2θ 68.3, I 17